# Pm2SmIr
Computed X-ray powder pattern, Cu Kα (weighted mean of Kα1 and Kα2). Input: the GGA-PBE geometry in Alexandria.
Kinematic intensities with the Lorentz-polarization factor, no thermal factor.

Cell and atoms:
```
Pm2SmIr
1.0
7.343 0.000 0.000
0.000 9.776 0.000
0.000 0.000 6.484
Pm Sm Ir
8 4 4
Direct
0.176 0.065 0.172
0.176 0.435 0.172
0.324 0.565 0.672
0.324 0.935 0.672
0.676 0.065 0.328
0.676 0.435 0.328
0.824 0.565 0.828
0.824 0.935 0.828
0.036 0.250 0.643
0.464 0.750 0.143
0.536 0.250 0.857
0.964 0.750 0.357
0.119 0.750 0.943
0.381 0.250 0.443
0.619 0.750 0.557
0.881 0.250 0.057
```

Main lines, by angle (2θ = 10–90°):
| hkl | two_theta | I_rel |
| --- | --- | --- |
| 2 2 0 | 30.45 | 49.3 |
| 0 3 1 | 30.71 | 58.5 |
| 1 1 2 | 31.52 | 96.2 |
| 1 3 1 | 33.11 | 100.0 |
| 2 2 1 | 33.51 | 71.7 |
| 2 3 0 | 36.88 | 49.0 |